Entry 1:
Ca4Nb2O9: computed X-ray powder pattern (a wavelength of 1.5418 Å), based on a DFT-relaxed cell (PBE, the Materials Project).
Peak positions follow from Bragg's law for the DFT cell and can differ from measured ones.

Main lines, low angle first (2θ = 15–90°):
| 2θ/deg | d/Å | I/Imax | h k l |
| --- | --- | --- | --- |
| 21.9 | 4.051 | 75.7 | 2 1 0 |
| 30.6 | 2.926 | 48.3 | 2 0 2 |
| 31.1 | 2.875 | 99.7 | -2 1 2 |
| 31.3 | 2.855 | 100.0 | 2 3 2 |
| 31.9 | 2.807 | 41.0 | 2 2 -2 |
| 44.7 | 2.027 | 56.6 | 0 4 4 |
| 44.8 | 2.022 | 28.2 | 4 2 0 |
| 54.9 | 1.673 | 17.5 | -2 4 2 |
| 56.0 | 1.643 | 21.8 | -2 2 6 |
| 56.5 | 1.630 | 26.3 | 4 5 0 |

Atomic structure:
```
data_Ca4Nb2O9
_chemical_formula_sum 'Ca16 Nb8 O36'
_cell_length_a 8.0969
_cell_length_b 9.8657
_cell_length_c 11.4255
_cell_angle_alpha 72.68
_cell_angle_beta 88.56
_cell_angle_gamma 67.15
_symmetry_space_group_name_H-M 'P 1'
_symmetry_Int_Tables_number 1
loop_
_symmetry_equiv_pos_as_xyz
'x,y,z'
loop_
_atom_site_label
_atom_site_fract_x
_atom_site_fract_y
_atom_site_fract_z
Ca1 0.0000 0.0000 0.0000
Ca2 0.0021 0.0026 0.4994
Ca3 0.0532 0.3701 0.3841
Ca4 0.1304 0.3140 0.9272
Ca5 0.2276 0.0135 0.7348
Ca6 0.2980 0.9633 0.2656
Ca7 0.3294 0.3418 0.6670
Ca8 0.3810 0.6952 0.0711
Ca9 0.4684 0.6506 0.5942
Ca10 0.5343 0.3588 0.4070
Ca11 0.6247 0.3015 0.9331
Ca12 0.6704 0.6644 0.3358
Ca13 0.7029 0.0364 0.7235
Ca14 0.7777 0.9871 0.2655
Ca15 0.8759 0.6772 0.0744
Ca16 0.9426 0.6391 0.6156
Nb1 0.1541 0.6726 0.3435
Nb2 0.1673 0.6886 0.8304
Nb3 0.3210 0.3437 0.1551
Nb4 0.4856 0.0190 0.4909
Nb5 0.5058 0.9980 0.9972
Nb6 0.6813 0.6601 0.8378
Nb7 0.8296 0.3189 0.1695
Nb8 0.8468 0.3298 0.6587
O1 0.0089 0.7978 0.4372
O2 0.0166 0.8777 0.7130
O3 0.0500 0.3575 0.7270
O4 0.0619 0.3977 0.1523
O5 0.0887 0.7539 0.9757
O6 0.1416 0.8440 0.1947
O7 0.2192 0.4656 0.4663
O8 0.2441 0.5734 0.7120
O9 0.2665 0.0113 0.9400
O10 0.3079 0.9232 0.5279
O11 0.3181 0.4541 0.9841
O12 0.3242 0.5021 0.2239
O13 0.3457 0.2028 0.3510
O14 0.3617 0.1490 0.1109
O15 0.3817 0.7355 0.8333
O16 0.3972 0.6601 0.3924
O17 0.4145 0.1089 0.6288
O18 0.4587 0.1950 0.8642
O19 0.5268 0.8188 0.1431
O20 0.5858 0.8952 0.3781
O21 0.6020 0.3454 0.6092
O22 0.6188 0.2664 0.1734
O23 0.6414 0.8591 0.8983
O24 0.6530 0.7974 0.6666
O25 0.6776 0.4960 0.7824
O26 0.6862 0.5497 0.0213
O27 0.6962 0.0757 0.4881
O28 0.7291 0.0015 0.0623
O29 0.7558 0.4324 0.2907
O30 0.7777 0.5400 0.5373
O31 0.8544 0.1589 0.8058
O32 0.9129 0.2461 0.0281
O33 0.9427 0.6039 0.8532
O34 0.9477 0.6484 0.2740
O35 0.9844 0.1288 0.2879
O36 0.9914 0.2073 0.5636
```



Entry 2:
Ca2Nb2O7: computed X-ray powder pattern (a wavelength of 1.5418 Å), based on a DFT-relaxed cell (PBE, the Materials Project).
Peak positions follow from Bragg's law for the DFT cell and can differ from measured ones.

Main lines, low angle first (2θ = 15–90°):
| 2θ/deg | d/Å | I/Imax | h k l |
| --- | --- | --- | --- |
| 20.7 | 4.288 | 70.4 | 0 1 2 |
| 23.1 | 3.846 | 46.7 | 2 0 -1 |
| 25.5 | 3.498 | 38.3 | 0 1 3 |
| 26.4 | 3.380 | 43.9 | 0 0 4 |
| 29.8 | 3.001 | 71.5 | 2 1 1 |
| 32.3 | 2.774 | 39.3 | 0 2 0 |
| 32.6 | 2.743 | 100.0 | 2 1 -3 |
| 46.8 | 1.943 | 35.2 | 4 0 -1 |
| 50.6 | 1.805 | 35.2 | 2 2 4 |
| 57.8 | 1.596 | 32.0 | 2 3 -3 |

Atomic structure:
```
data_Ca2Nb2O7
_chemical_formula_sum 'Ca8 Nb8 O28'
_cell_length_a 7.7711
_cell_length_b 5.5483
_cell_length_c 13.6603
_cell_angle_alpha 90.00
_cell_angle_beta 98.28
_cell_angle_gamma 90.00
_symmetry_space_group_name_H-M 'P 1 21 1'
_symmetry_Int_Tables_number 4
loop_
_symmetry_equiv_pos_as_xyz
'x,y,z'
'-x,y+1/2,-z'
loop_
_atom_site_label
_atom_site_fract_x
_atom_site_fract_y
_atom_site_fract_z
Ca1 0.1394 0.0000 0.0654
Ca2 0.2304 0.4193 0.4164
Ca3 0.2831 0.9007 0.6245
Ca4 0.3600 0.4263 0.9004
Nb1 0.0325 0.4162 0.6164
Nb2 0.0787 0.9368 0.8233
Nb3 0.4115 0.4408 0.1744
Nb4 0.4740 0.9157 0.3816
O1 0.0144 0.0939 0.6809
O2 0.0526 0.6826 0.5202
O3 0.0730 0.2054 0.9059
O4 0.1175 0.6084 0.7246
O5 0.1382 0.7137 0.9267
O6 0.1720 0.3298 0.1913
O7 0.2223 0.9844 0.3889
O8 0.2717 0.3079 0.5873
O9 0.3270 0.0069 0.8021
O10 0.3653 0.7333 0.1146
O11 0.4145 0.2365 0.0617
O12 0.4258 0.5901 0.3216
O13 0.4582 0.6811 0.5218
O14 0.4958 0.6049 0.7279
```



Entry 3:
Ca4Nb2O9: computed X-ray powder pattern (a wavelength of 1.5418 Å), based on a DFT-relaxed cell (PBE, the Materials Project).
Peak positions follow from Bragg's law for the DFT cell and can differ from measured ones.

Main lines, low angle first (2θ = 15–90°):
| 2θ/deg | d/Å | I/Imax | h k l |
| --- | --- | --- | --- |
| 21.9 | 4.057 | 50.2 | 2 1 0 |
| 22.0 | 4.035 | 26.8 | 0 1 -2 |
| 30.6 | 2.925 | 48.1 | 2 0 2 |
| 31.1 | 2.876 | 50.4 | -2 1 2 |
| 31.3 | 2.862 | 100.0 | 2 3 2 |
| 31.4 | 2.852 | 51.8 | 0 1 4 |
| 31.9 | 2.806 | 41.9 | 2 2 -2 |
| 44.6 | 2.032 | 27.6 | 4 2 0 |
| 44.8 | 2.024 | 29.8 | 0 4 4 |
| 44.9 | 2.018 | 28.5 | 0 2 -4 |

Atomic structure:
```
data_Ca4Nb2O9
_chemical_formula_sum 'Ca16 Nb8 O36'
_cell_length_a 8.1372
_cell_length_b 9.8455
_cell_length_c 11.4119
_cell_angle_alpha 72.41
_cell_angle_beta 88.55
_cell_angle_gamma 66.96
_symmetry_space_group_name_H-M 'P -1'
_symmetry_Int_Tables_number 2
loop_
_symmetry_equiv_pos_as_xyz
'x,y,z'
'-x,-y,-z'
loop_
_atom_site_label
_atom_site_fract_x
_atom_site_fract_y
_atom_site_fract_z
Ca1 0.0000 0.0000 0.0000
Ca2 0.0000 0.0000 0.5000
Ca3 0.0363 0.3647 0.4122
Ca4 0.1170 0.3112 0.9364
Ca5 0.2310 0.0112 0.7307
Ca6 0.3063 0.9871 0.2562
Ca7 0.3353 0.3319 0.6654
Ca8 0.3709 0.6897 0.0690
Ca9 0.4563 0.6284 0.6020
Nb1 0.1470 0.6755 0.8264
Nb2 0.1627 0.6858 0.3266
Nb3 0.3401 0.3418 0.1645
Nb4 0.5000 0.0000 0.0000
Nb5 0.5000 0.0000 0.5000
O1 0.0534 0.3520 0.6168
O2 0.0653 0.7654 0.1516
O3 0.0915 0.8879 0.3434
O4 0.1118 0.2608 0.1730
O5 0.1649 0.8332 0.8916
O6 0.1656 0.7798 0.6597
O7 0.1875 0.4867 0.7858
O8 0.1889 0.5232 0.0223
O9 0.2321 0.0866 0.5019
O10 0.2453 0.4340 0.2913
O11 0.2730 0.9879 0.0573
O12 0.2812 0.5515 0.5000
O13 0.3826 0.1131 0.8270
O14 0.4075 0.6494 0.2771
O15 0.4211 0.2105 0.0414
O16 0.4610 0.5988 0.8522
O17 0.4710 0.1303 0.3096
O18 0.4894 0.8284 0.4463
```



Entry 4:
Ca2Nb2O7: computed X-ray powder pattern (a wavelength of 1.5418 Å), based on a DFT-relaxed cell (PBE, the Materials Project).
Peak positions follow from Bragg's law for the DFT cell and can differ from measured ones.

Main lines, low angle first (2θ = 15–90°):
| 2θ/deg | d/Å | I/Imax | h k l |
| --- | --- | --- | --- |
| 28.0 | 3.191 | 21.3 | 3 1 1 |
| 29.2 | 3.055 | 100.0 | 2 2 2 |
| 33.9 | 2.646 | 23.1 | 4 0 0 |
| 44.5 | 2.037 | 7.1 | 3 3 3 |
| 48.7 | 1.871 | 48.8 | 4 4 0 |
| 57.8 | 1.596 | 40.1 | 6 2 2 |
| 60.6 | 1.528 | 9.6 | 4 4 4 |
| 71.3 | 1.323 | 6.7 | 8 0 0 |
| 78.8 | 1.214 | 15.4 | 6 6 2 |
| 81.3 | 1.183 | 12.6 | 8 4 0 |

Atomic structure:
Cell: 10.5834 10.5834 10.5834 Å, 90.00 90.00 90.00°
Space group Fd-3m (No. 227, origin choice 2)
One atom of each set of equivalent atoms:
Ca 0.0000 0.0000 0.0000 (multiplicity 16)
Nb 0.0000 0.0000 0.5000 (multiplicity 16)
O 0.0676 0.3750 0.8750 (multiplicity 48)
O 0.1250 0.1250 0.1250 (multiplicity 8)



Entry 5:
Ca4Nb6O21: computed X-ray powder pattern (a wavelength of 1.5418 Å), based on a DFT-relaxed cell (PBE, the Materials Project).
Peak positions follow from Bragg's law for the DFT cell and can differ from measured ones.

Main lines, low angle first (2θ = 15–90°):
| 2θ/deg | d/Å | I/Imax | h k l |
| --- | --- | --- | --- |
| 18.1 | 4.896 | 27.6 | 0 0 3 |
| 22.8 | 3.902 | 69.1 | 2 0 0 |
| 29.3 | 3.052 | 100.0 | 2 0 3 |
| 32.4 | 2.759 | 55.3 | 2 2 0 |
| 33.5 | 2.674 | 21.2 | 2 0 4 |
| 43.1 | 2.098 | 19.1 | 0 0 7 |
| 46.5 | 1.951 | 38.5 | 4 0 0 |
| 55.0 | 1.670 | 20.5 | 2 2 7 |
| 55.9 | 1.644 | 34.9 | 4 2 3 |
| 65.3 | 1.429 | 17.7 | 4 0 7 |

Atomic structure:
```
data_Ca4Nb6O21
_chemical_formula_sum 'Ca8 Nb12 O42'
_cell_length_a 7.8029
_cell_length_b 7.8067
_cell_length_c 14.6886
_cell_angle_alpha 90.00
_cell_angle_beta 90.00
_cell_angle_gamma 90.00
_symmetry_space_group_name_H-M 'C m m 2'
_symmetry_Int_Tables_number 35
loop_
_symmetry_equiv_pos_as_xyz
'x,y,z'
'-x,-y,z'
'-x,y,z'
'x,-y,z'
'x+1/2,y+1/2,z'
'-x+1/2,-y+1/2,z'
'-x+1/2,y+1/2,z'
'x+1/2,-y+1/2,z'
loop_
_atom_site_label
_atom_site_fract_x
_atom_site_fract_y
_atom_site_fract_z
Ca1 0.0000 0.0000 0.0000
Ca2 0.0000 0.0000 0.3109
Ca3 0.0000 0.5000 0.0000
Ca4 0.0000 0.5000 0.3110
Nb1 0.2500 0.2500 0.1562
Nb2 0.2500 0.2500 0.4529
Nb3 0.2500 0.2500 0.8586
O1 0.0000 0.0000 0.6281
O2 0.0000 0.1756 0.1567
O3 0.0000 0.2323 0.4182
O4 0.0000 0.2331 0.8949
O5 0.1757 0.5000 0.1567
O6 0.2329 0.5000 0.4182
O7 0.2334 0.5000 0.8950
O8 0.2500 0.2500 0.0239
O9 0.2500 0.2500 0.2894
O10 0.2500 0.2500 0.5743
O11 0.2500 0.2500 0.7386
```



Entry 6:
CaNb2P2O10: computed X-ray powder pattern (a wavelength of 1.5418 Å), based on a DFT-relaxed cell (PBE, the Materials Project).
Peak positions follow from Bragg's law for the DFT cell and can differ from measured ones.

Main lines, low angle first (2θ = 15–90°):
| 2θ/deg | d/Å | I/Imax | h k l |
| --- | --- | --- | --- |
| 20.1 | 4.423 | 100.0 | 1 0 1 |
| 27.3 | 3.265 | 56.8 | 2 0 0 |
| 34.1 | 2.627 | 16.7 | 2 1 1 |
| 35.6 | 2.519 | 25.7 | 1 1 2 |
| 39.0 | 2.309 | 9.4 | 2 2 0 |
| 44.3 | 2.047 | 19.5 | 3 0 1 |
| 52.8 | 1.734 | 11.1 | 3 2 1 |
| 53.9 | 1.702 | 19.5 | 3 1 2 |
| 55.6 | 1.652 | 11.2 | 2 1 3 |
| 56.4 | 1.632 | 8.0 | 4 0 0 |

Atomic structure:
```
data_CaNb2P2O10
_chemical_formula_sum 'Ca1 Nb2 P2 O10'
_cell_length_a 6.5297
_cell_length_b 6.5297
_cell_length_c 6.0112
_cell_angle_alpha 90.00
_cell_angle_beta 90.00
_cell_angle_gamma 90.00
_symmetry_space_group_name_H-M 'P -4 m 2'
_symmetry_Int_Tables_number 115
loop_
_symmetry_equiv_pos_as_xyz
'x,y,z'
'y,-x,-z'
'-x,-y,z'
'-y,x,-z'
'-x,y,z'
'-y,-x,-z'
'x,-y,z'
'y,x,-z'
loop_
_atom_site_label
_atom_site_fract_x
_atom_site_fract_y
_atom_site_fract_z
Ca1 0.0000 0.0000 0.0000
Nb1 0.0000 0.5000 0.2643
P1 0.0000 0.0000 0.5000
P2 0.5000 0.5000 0.5000
O1 0.0000 0.1814 0.3360
O2 0.0000 0.5000 0.9701
O3 0.3065 0.5000 0.3525
```